(1)
# La3Tb6Tm2
Simulated PXRD pattern, Cu Kα, 1.54184 Å. Input: DFT lattice parameters and positions (GGA-PBE).
Intensities are scaled so that the largest is 100.

Main lines, in order of rising 2θ (2θ = 10–90°):
index  d (Å)  two_theta  I (rel.)
0 1 11  2.939  30.4  100
0 0 33  2.925  30.6  31
1 0 22  2.542  35.3  66
1 1 0  1.801  50.7  24
0 1 44  1.794  50.9  22
2 0 11  1.534  60.3  42

Atomic structure:
```
data_La3Tb6Tm2
_cell_length_a 3.6015
_cell_length_b 3.6015
_cell_length_c 96.5181
_cell_angle_alpha 90.00
_cell_angle_beta 90.00
_cell_angle_gamma 120.00
_space_group_name_H-M_alt 'R -3 m'
_space_group_IT_number 166
_space_group_name_Hall '-R 3 2"'
loop_
_atom_site_label
_atom_site_fract_x
_atom_site_fract_y
_atom_site_fract_z
La1 0.0000 0.0000 0.0000
La2 0.0000 0.0000 0.2715
Tb1 0.0000 0.0000 0.0929
Tb2 0.0000 0.0000 0.1816
Tb3 0.0000 0.0000 0.3642
Tm1 0.0000 0.0000 0.4556
```

***

(2)
# LaTbNd2Tm2
Simulated PXRD pattern, Cu Kα, 1.54184 Å. Input: DFT lattice parameters and positions (GGA-PBE).
Intensities are scaled so that the largest is 100.

Main lines, in order of rising 2θ (2θ = 10–90°):
index  d (Å)  two_theta  I (rel.)
2 1 1  2.871  31.1  100
0 3 1  2.859  31.3  76
0 0 2  2.848  31.4  37
0 6 0  1.653  55.6  33
0 3 3  1.647  55.8  28
4 3 1  1.500  61.8  32

Atomic structure:
```
data_LaTbNd2Tm2
_cell_length_a 7.0538
_cell_length_b 9.9159
_cell_length_c 5.6950
_cell_angle_alpha 90.00
_cell_angle_beta 90.00
_cell_angle_gamma 90.00
_space_group_name_H-M_alt 'P n n m'
_space_group_IT_number 58
_space_group_name_Hall '-P 2 2n'
loop_
_atom_site_label
_atom_site_fract_x
_atom_site_fract_y
_atom_site_fract_z
La1 0.0000 0.0000 0.0000
Tb1 0.0000 0.5000 0.5000
Nd1 0.2464 0.3331 0.0000
Tm1 0.2495 0.1664 0.5000
```

***

(3)
# Rb2PtBr6N
Simulated PXRD pattern, Cu Kα, 1.54184 Å. Input: DFT lattice parameters and positions (GGA-PBE).
Intensities are scaled so that the largest is 100.

Main lines, in order of rising 2θ (2θ = 10–90°):
index  d (Å)  two_theta  I (rel.)
1 0 1  6.233  14.2  87
1 1 0  5.745  15.4  36
2 0 2  3.117  28.6  67
1 0 3  3.009  29.7  37
2 2 0  2.872  31.1  100
2 2 4  1.855  49.1  49

Atomic structure:
```
data_Rb2PtBr6N
_cell_length_a 8.1243
_cell_length_b 8.1243
_cell_length_c 9.7195
_cell_angle_alpha 90.00
_cell_angle_beta 90.00
_cell_angle_gamma 90.00
_space_group_name_H-M_alt 'I 4/m m m'
_space_group_IT_number 139
_space_group_name_Hall '-I 4 2'
loop_
_atom_site_label
_atom_site_fract_x
_atom_site_fract_y
_atom_site_fract_z
Rb1 0.0000 0.5000 0.2500
Pt1 0.0000 0.0000 0.0000
Br1 0.0000 0.0000 0.2790
Br2 0.2169 0.2169 0.0000
N1 0.0000 0.0000 0.5000
```

***

(4)
# MnSiGeOs
Simulated PXRD pattern, Cu Kα, 1.54184 Å. Input: DFT lattice parameters and positions (GGA-PBE).
Intensities are scaled so that the largest is 100.

Main lines, in order of rising 2θ (2θ = 10–90°):
index  d (Å)  two_theta  I (rel.)
1 1 1  3.404  26.2  40
2 0 0  2.948  30.3  21
2 2 0  2.085  43.4  100
3 1 1  1.778  51.4  21
4 0 0  1.474  63.1  16
4 2 2  1.204  79.7  33

Atomic structure:
```
data_MnSiGeOs
_cell_length_a 5.8963
_cell_length_b 5.8963
_cell_length_c 5.8963
_cell_angle_alpha 90.00
_cell_angle_beta 90.00
_cell_angle_gamma 90.00
_space_group_name_H-M_alt 'F -4 3 m'
_space_group_IT_number 216
_space_group_name_Hall 'F -4 2 3'
loop_
_atom_site_label
_atom_site_fract_x
_atom_site_fract_y
_atom_site_fract_z
Mn1 0.0000 0.0000 0.0000
Si1 0.2500 0.2500 0.7500
Ge1 0.2500 0.2500 0.2500
Os1 0.0000 0.0000 0.5000
```

***

(5)
# KNa3Se4O12
Simulated PXRD pattern, Cu Kα, 1.54184 Å. Input: DFT lattice parameters and positions (GGA-PBE).
Intensities are scaled so that the largest is 100.

Main lines, in order of rising 2θ (2θ = 10–90°):
index  d (Å)  two_theta  I (rel.)
0 2 1  4.468  19.9  50
2 1 1  3.574  24.9  22
2 0 2  3.378  26.4  100
0 0 3  2.979  30.0  47
0 2 4  2.051  44.2  22
5 2 0  1.652  55.6  14

Atomic structure:
```
data_KNa3Se4O12
_cell_length_a 11.9136
_cell_length_b 11.9136
_cell_length_c 8.9399
_cell_angle_alpha 90.00
_cell_angle_beta 90.00
_cell_angle_gamma 120.00
_space_group_name_H-M_alt 'R 3 2'
_space_group_IT_number 155
_space_group_name_Hall 'R 3 2"'
loop_
_atom_site_label
_atom_site_fract_x
_atom_site_fract_y
_atom_site_fract_z
K1 0.0000 0.0000 0.0000
Na1 0.0000 0.5497 0.0000
Se1 0.0000 0.0000 0.5000
Se2 0.0000 0.4530 0.5000
O1 0.0000 0.5960 0.5000
O2 0.0000 0.8564 0.5000
O3 0.0210 0.2062 0.1850
```

***

(6)
# Er8Tm6Pb
Simulated PXRD pattern, Cu Kα, 1.54184 Å. Input: DFT lattice parameters and positions (GGA-PBE).
Intensities are scaled so that the largest is 100.

Main lines, in order of rising 2θ (2θ = 10–90°):
index  d (Å)  two_theta  I (rel.)
0 2 1  3.384  26.3  34
2 1 1  2.712  33.0  60
2 -1 2  2.686  33.4  100
3 0 0  2.618  34.3  76
2 2 2  1.875  48.6  15
5 -2 1  1.739  52.6  21

Atomic structure:
```
data_Er8Tm6Pb
_cell_length_a 9.0683
_cell_length_b 9.0683
_cell_length_c 6.6687
_cell_angle_alpha 90.00
_cell_angle_beta 90.00
_cell_angle_gamma 120.00
_space_group_name_H-M_alt 'P -3'
_space_group_IT_number 147
_space_group_name_Hall '-P 3'
loop_
_atom_site_label
_atom_site_fract_x
_atom_site_fract_y
_atom_site_fract_z
Er1 0.0190 0.3348 0.3918
Er2 0.3333 0.6667 0.6995
Tm1 0.0788 0.6815 0.1021
Pb1 0.0000 0.0000 0.0000
```

***

(7)
# K2BaAs2O7
Simulated PXRD pattern, Cu Kα, 1.54184 Å. Input: DFT lattice parameters and positions (GGA-PBE).
Intensities are scaled so that the largest is 100.

Main lines, in order of rising 2θ (2θ = 10–90°):
index  d (Å)  two_theta  I (rel.)
0 1 2  4.768  18.6  68
0 1 5  3.503  25.4  100
1 1 0  3.007  29.7  76
2 0 5  2.282  39.5  23
1 2 5  1.818  50.2  24
3 0 0  1.736  52.7  21

Atomic structure:
```
data_K2BaAs2O7
_cell_length_a 6.0146
_cell_length_b 6.0146
_cell_length_c 23.6719
_cell_angle_alpha 90.00
_cell_angle_beta 90.00
_cell_angle_gamma 120.00
_space_group_name_H-M_alt 'R 3 2'
_space_group_IT_number 155
_space_group_name_Hall 'R 3 2"'
loop_
_atom_site_label
_atom_site_fract_x
_atom_site_fract_y
_atom_site_fract_z
K1 0.0000 0.0000 0.2039
Ba1 0.0000 0.0000 0.0000
As1 0.0000 0.0000 0.4242
O1 0.0000 0.0000 0.5000
O2 0.0367 0.2921 0.5920
```

***

(8)
# Ba2YFeTc
Simulated PXRD pattern, Cu Kα, 1.54184 Å. Input: DFT lattice parameters and positions (GGA-PBE).
Intensities are scaled so that the largest is 100.

Main lines, in order of rising 2θ (2θ = 10–90°):
index  d (Å)  two_theta  I (rel.)
1 0 0  5.816  15.2  37
0 0 1  5.364  16.5  38
1 1 1  3.264  27.3  100
2 0 0  2.908  30.7  100
0 0 2  2.682  33.4  40
2 0 2  1.972  46.0  64

Atomic structure:
```
data_Ba2YFeTc
_cell_length_a 5.8156
_cell_length_b 5.8156
_cell_length_c 5.3643
_cell_angle_alpha 90.00
_cell_angle_beta 90.00
_cell_angle_gamma 90.00
_space_group_name_H-M_alt 'P 4/m m m'
_space_group_IT_number 123
_space_group_name_Hall '-P 4 2'
loop_
_atom_site_label
_atom_site_fract_x
_atom_site_fract_y
_atom_site_fract_z
Ba1 0.0000 0.5000 0.0000
Y1 0.0000 0.0000 0.5000
Fe1 0.5000 0.5000 0.5000
Tc1 0.0000 0.0000 0.0000
```

***

(9)
# Ac4YSe5
Simulated PXRD pattern, Cu Kα, 1.54184 Å. Input: DFT lattice parameters and positions (GGA-PBE).
Intensities are scaled so that the largest is 100.

Main lines, in order of rising 2θ (2θ = 10–90°):
index  d (Å)  two_theta  I (rel.)
1 0 5  3.595  24.8  33
1 1 0  3.114  28.7  100
2 0 0  2.202  41.0  76
2 1 5  1.878  48.5  18
2 0 10  1.798  50.8  27
3 1 0  1.393  67.2  24

Atomic structure:
```
data_Ac4YSe5
_cell_length_a 4.4073
_cell_length_b 4.4073
_cell_length_c 31.0818
_cell_angle_alpha 90.00
_cell_angle_beta 90.00
_cell_angle_gamma 90.00
_space_group_name_H-M_alt 'I 4/m m m'
_space_group_IT_number 139
_space_group_name_Hall '-I 4 2'
loop_
_atom_site_label
_atom_site_fract_x
_atom_site_fract_y
_atom_site_fract_z
Ac1 0.0000 0.0000 0.0996
Ac2 0.0000 0.0000 0.3040
Y1 0.0000 0.0000 0.5000
Se1 0.0000 0.0000 0.0000
Se2 0.0000 0.0000 0.2020
Se3 0.0000 0.0000 0.4066
```

***

(10)
# AcYInRh
Simulated PXRD pattern, Cu Kα, 1.54184 Å. Input: DFT lattice parameters and positions (GGA-PBE).
Intensities are scaled so that the largest is 100.

Main lines, in order of rising 2θ (2θ = 10–90°):
index  d (Å)  two_theta  I (rel.)
1 1 1  4.362  20.4  13
2 2 0  2.671  33.6  100
4 0 0  1.889  48.2  18
4 2 2  1.542  60.0  37
4 4 0  1.335  70.5  11
6 2 0  1.195  80.4  16

Atomic structure:
```
data_AcYInRh
_cell_length_a 7.5547
_cell_length_b 7.5547
_cell_length_c 7.5547
_cell_angle_alpha 90.00
_cell_angle_beta 90.00
_cell_angle_gamma 90.00
_space_group_name_H-M_alt 'F -4 3 m'
_space_group_IT_number 216
_space_group_name_Hall 'F -4 2 3'
loop_
_atom_site_label
_atom_site_fract_x
_atom_site_fract_y
_atom_site_fract_z
Ac1 0.0000 0.0000 0.0000
Y1 0.0000 0.0000 0.5000
In1 0.2500 0.2500 0.2500
Rh1 0.2500 0.2500 0.7500
```

***

(11)
# RbTiTlBr6
Simulated PXRD pattern, Cu Kα, 1.54184 Å. Input: DFT lattice parameters and positions (GGA-PBE).
Intensities are scaled so that the largest is 100.

Main lines, in order of rising 2θ (2θ = 10–90°):
index  d (Å)  two_theta  I (rel.)
1 1 1  4.731  18.8  100
2 0 -1  3.393  26.3  75
0 4 1  3.044  29.3  31
1 3 -2  2.518  35.6  71
2 4 -1  2.418  37.2  59
2 4 3  1.667  55.1  27

Atomic structure:
```
data_RbTiTlBr6
_cell_length_a 7.9392
_cell_length_b 13.7990
_cell_length_c 6.5088
_cell_angle_alpha 90.00
_cell_angle_beta 90.01
_cell_angle_gamma 90.00
_space_group_name_H-M_alt 'C 1 2 1'
_space_group_IT_number 5
_space_group_name_Hall 'C 2y'
loop_
_atom_site_label
_atom_site_fract_x
_atom_site_fract_y
_atom_site_fract_z
Rb1 0.0000 0.0000 0.0000
Ti1 0.0000 0.3328 0.0000
Tl1 0.0000 0.6663 0.5000
Br1 0.1227 0.4641 0.7714
Br2 0.1357 0.2056 0.7714
Br3 0.2399 0.8283 0.7728
```

***

(12)
# Ba4Na3Hg
Simulated PXRD pattern, Cu Kα, 1.54184 Å. Input: DFT lattice parameters and positions (GGA-PBE).
Intensities are scaled so that the largest is 100.

Main lines, in order of rising 2θ (2θ = 10–90°):
index  d (Å)  two_theta  I (rel.)
0 0 3  6.826  13.0  24
1 0 4  3.293  27.1  100
1 1 0  3.041  29.4  49
1 0 7  2.419  37.2  20
2 0 0  2.150  42.0  18
2 1 4  1.800  50.7  35

Atomic structure:
```
data_Ba4Na3Hg
_cell_length_a 4.3002
_cell_length_b 4.3002
_cell_length_c 20.4782
_cell_angle_alpha 90.00
_cell_angle_beta 90.00
_cell_angle_gamma 90.00
_space_group_name_H-M_alt 'P 4/m m m'
_space_group_IT_number 123
_space_group_name_Hall '-P 4 2'
loop_
_atom_site_label
_atom_site_fract_x
_atom_site_fract_y
_atom_site_fract_z
Ba1 0.0000 0.0000 0.0968
Ba2 0.0000 0.0000 0.3670
Na1 0.5000 0.5000 0.2338
Na2 0.5000 0.5000 0.5000
Hg1 0.5000 0.5000 0.0000
```

***

(13)
# SmDySc
Simulated PXRD pattern, Cu Kα, 1.54184 Å. Input: DFT lattice parameters and positions (GGA-PBE).
Intensities are scaled so that the largest is 100.

Main lines, in order of rising 2θ (2θ = 10–90°):
index  d (Å)  two_theta  I (rel.)
0 1 2  3.574  24.9  11
1 1 0  2.840  31.5  100
0 2 0  2.459  36.5  50
1 2 3  1.738  52.7  28
2 1 3  1.485  62.5  14
1 3 0  1.482  62.7  26

Atomic structure:
```
data_SmDySc
_cell_length_a 3.4870
_cell_length_b 4.9114
_cell_length_c 10.4190
_cell_angle_alpha 90.00
_cell_angle_beta 90.00
_cell_angle_gamma 90.00
_space_group_name_H-M_alt 'P m m n'
_space_group_IT_number 59
loop_
_space_group_symop_operation_xyz
'x,y,z'
'-x,-y,-z'
'-x+1/2,-y+1/2,z'
'x+1/2,y+1/2,-z'
'x+1/2,-y,-z'
'-x+1/2,y,z'
'-x,y+1/2,-z'
'x,-y+1/2,z'
loop_
_atom_site_label
_atom_site_fract_x
_atom_site_fract_y
_atom_site_fract_z
Sm1 0.2500 0.2500 0.0899
Dy1 0.2500 0.2500 0.7370
Sc1 0.2500 0.2500 0.4224
```